(1)
Simulated X-ray powder pattern
Compound: SrTmAgCl6
Radiation: Cu Ka
Structure: DFT lattice parameters and positions (PBE)
Intensities are scaled so that the largest is 1000.

The 10 most intense peaks (10 to 80 degrees two-theta), sorted by position:
16.2 deg, I = 217, hkl 1 0 1
20.7 deg, I = 1000, hkl 1 0 2
25.1 deg, I = 365, hkl 1 1 0
29.3 deg, I = 397, hkl 1 1 2
32.8 deg, I = 316, hkl 2 0 2
39.5 deg, I = 753, hkl 1 1 4
41.7 deg, I = 324, hkl 2 1 2
44.2 deg, I = 360, hkl 3 0 0
60.8 deg, I = 202, hkl 4 -2 4
78.2 deg, I = 170, hkl 4 1 4

Cell: 7.0949 7.0949 11.9346 Å, 90.00 90.00 120.00°
Space group P-31c (No. 163)
One atom of each set of equivalent atoms:
Sr 0.3333 0.6667 0.2500 (multiplicity 2)
Tm 0.3333 0.6667 0.7500 (multiplicity 2)
Ag 0.0000 0.0000 0.0000 (multiplicity 2)
Cl 0.0316 0.3582 0.6265 (multiplicity 12)

***

(2)
Simulated X-ray powder pattern
Compound: Ta2AgCl
Radiation: Cu Ka
Structure: DFT lattice parameters and positions (PBE)
Intensities are scaled so that the largest is 1000.

The 10 most intense peaks (10 to 80 degrees two-theta), sorted by position:
34.5 deg, I = 108, hkl 1 0 1
35.6 deg, I = 296, hkl 0 0 12
36.4 deg, I = 1000, hkl 1 0 4
40.4 deg, I = 131, hkl 1 0 7
42.1 deg, I = 619, hkl 0 1 8
48.1 deg, I = 106, hkl 0 1 11
60.5 deg, I = 175, hkl 1 0 16
61.6 deg, I = 219, hkl 1 1 0
73.2 deg, I = 217, hkl 1 1 12
73.7 deg, I = 126, hkl 0 2 4

Cell: 3.0129 3.0129 30.2519 Å, 90.00 90.00 120.00°
Space group R3m (No. 160, hexagonal axes)
One atom of each set of equivalent atoms:
Ta 0.0000 0.0000 0.0000 (multiplicity 3)
Ta 0.0000 0.0000 0.2498 (multiplicity 3)
Ag 0.0000 0.0000 0.5045 (multiplicity 3)
Cl 0.0000 0.0000 0.7260 (multiplicity 3)

***

(3)
Simulated X-ray powder pattern
Compound: Tc2AgCl
Radiation: Cu Ka
Structure: DFT lattice parameters and positions (PBE)
Intensities are scaled so that the largest is 1000.

The 10 most intense peaks (10 to 80 degrees two-theta), sorted by position:
19.3 deg, I = 100, hkl 0 0 2
36.4 deg, I = 359, hkl 0 2 0
39.1 deg, I = 249, hkl 0 0 4
40.7 deg, I = 1000, hkl 1 1 2
54.5 deg, I = 183, hkl 0 2 4
63.1 deg, I = 67, hkl 2 0 0
68.4 deg, I = 201, hkl 1 3 2
72.0 deg, I = 127, hkl 1 1 6
75.1 deg, I = 80, hkl 2 2 0
76.8 deg, I = 64, hkl 2 0 4

Cell: 2.9463 4.9359 9.2064 Å, 90.00 90.00 90.00°
Space group Cmm2 (No. 35)
One atom of each set of equivalent atoms:
Tc 0.0000 0.0000 0.0000 (multiplicity 2)
Tc 0.0000 0.5000 0.2224 (multiplicity 2)
Ag 0.0000 0.0000 0.4921 (multiplicity 2)
Cl 0.0000 0.5000 0.7764 (multiplicity 2)

***

(4)
Simulated X-ray powder pattern
Compound: TcAg3Cl7
Radiation: Cu Ka
Structure: DFT lattice parameters and positions (PBE)
Intensities are scaled so that the largest is 1000.

The 10 most intense peaks (10 to 80 degrees two-theta), sorted by position:
13.7 deg, I = 242, hkl 0 0 1
20.8 deg, I = 519, hkl 2 0 0
22.3 deg, I = 1000, hkl 0 2 1
28.2 deg, I = 287, hkl 2 2 -1
30.2 deg, I = 273, hkl 2 0 -2
32.9 deg, I = 248, hkl 0 2 2
33.1 deg, I = 254, hkl 2 2 1
35.5 deg, I = 222, hkl 0 4 0
42.0 deg, I = 223, hkl 0 0 3
43.1 deg, I = 228, hkl 2 2 2

Cell: 8.8344 10.1153 6.6620 Å, 90.00 104.64 90.00°
Space group Cm (No. 8)
One atom of each set of equivalent atoms:
Tc 0.0000 0.0000 0.0000 (multiplicity 2)
Ag 0.4193 0.2426 0.4408 (multiplicity 4)
Ag 0.4840 0.0000 0.1049 (multiplicity 2)
Cl 0.0146 0.5000 0.4963 (multiplicity 2)
Cl 0.1206 0.1697 0.2437 (multiplicity 4)
Cl 0.2178 0.0000 0.8528 (multiplicity 2)
Cl 0.2920 0.5000 0.1751 (multiplicity 2)
Cl 0.3709 0.3325 0.7787 (multiplicity 4)